Entry 1:
Starting from a DFT-relaxed cell (GGA-PBE, Alexandria), the XRD peak list of NdH2Rh3 was computed for Cu Kα, 1.54184 Å.

Structural model:
a b c (Å): 5.4217 5.4217 2.9547
angles (deg): 90.00 90.00 120.00
Fractional positions:
Nd (0.0000, 0.0000, 0.0000)
H (0.3333, 0.6667, 0.0000)
H (0.6667, 0.3333, 0.0000)
Rh (0.0000, 0.5000, 0.5000)
Rh (0.5000, 0.0000, 0.5000)
Rh (0.5000, 0.5000, 0.5000)

Top 10 peaks for 2θ from 5° to 70°, most intense first:
- 2θ 38.3, intensity 1000, (2 0 0)
- 2θ 35.9, intensity 701, (1 0 1)
- 2θ 45.4, intensity 371, (1 1 1)
- 2θ 60.9, intensity 300, (2 1 1)
- 2θ 69.3, intensity 172, (2 2 0)
- 2θ 49.6, intensity 132, (2 0 1)
- 2θ 67.8, intensity 110, (3 0 1)
- 2θ 30.2, intensity 87, (0 0 1)
- 2θ 62.9, intensity 77, (0 0 2)
- 2θ 18.9, intensity 35, (1 0 0)

=====

Entry 2:
Starting from a DFT-relaxed cell (GGA-PBE, Alexandria), the XRD peak list of NdZn2HRh2 was computed for Cu Kα, 1.54184 Å.

Structural model:
a b c (Å): 4.1700 4.1700 5.2873
angles (deg): 90.00 90.00 90.00
Fractional positions:
Nd (0.0000, 0.0000, 0.0000)
Zn (0.5000, 0.5000, 0.2293)
Zn (0.5000, 0.5000, 0.7707)
H (0.0000, 0.0000, 0.5000)
Rh (0.0000, 0.5000, 0.5000)
Rh (0.5000, 0.0000, 0.5000)

Top 10 peaks for 2θ from 5° to 70°, most intense first:
- 2θ 34.8, intensity 1000, (1 1 1)
- 2θ 43.4, intensity 484, (2 0 0)
- 2θ 40.4, intensity 384, (1 0 2)
- 2θ 60.8, intensity 223, (2 1 2)
- 2θ 27.2, intensity 211, (1 0 1)
- 2θ 63.1, intensity 155, (2 2 0)
- 2θ 46.1, intensity 133, (1 1 2)
- 2θ 61.3, intensity 125, (1 1 3)
- 2θ 33.9, intensity 93, (0 0 2)
- 2θ 56.2, intensity 88, (2 0 2)

=====

Entry 3:
Starting from a DFT-relaxed cell (GGA-PBE, Alexandria), the XRD peak list of Nd2HRu was computed for Cu Kα, 1.54184 Å.

Structural model:
a b c (Å): 5.7336 5.5020 11.9908
angles (deg): 90.00 114.47 90.00
Fractional positions:
Nd (0.0794, 0.2499, 0.1161)
Nd (0.0794, 0.7501, 0.6161)
Nd (0.3599, 0.2494, 0.8688)
Nd (0.3599, 0.7506, 0.3688)
Nd (0.6401, 0.2494, 0.6312)
Nd (0.6401, 0.7506, 0.1312)
Nd (0.9206, 0.2499, 0.3839)
Nd (0.9206, 0.7501, 0.8839)
H (0.0670, 0.2480, 0.6237)
H (0.0670, 0.7520, 0.1237)
H (0.9330, 0.2480, 0.8763)
H (0.9330, 0.7520, 0.3763)
Ru (0.4120, 0.2506, 0.3617)
Ru (0.4120, 0.7494, 0.8617)
Ru (0.5880, 0.2506, 0.1383)
Ru (0.5880, 0.7494, 0.6383)

Top 10 peaks for 2θ from 5° to 70°, most intense first:
- 2θ 32.5, intensity 1000, (0 2 0)
- 2θ 32.8, intensity 923, (0 0 4)
- 2θ 31.3, intensity 916, (2 0 -2)
- 2θ 28.5, intensity 690, (1 1 -3)
- 2θ 46.9, intensity 677, (0 2 4)
- 2θ 45.8, intensity 636, (2 2 -2)
- 2θ 27.1, intensity 629, (1 1 1)
- 2θ 18.0, intensity 361, (0 1 1)
- 2θ 56.0, intensity 339, (2 2 2)
- 2θ 44.2, intensity 338, (2 0 2)

=====

Entry 4:
Starting from a DFT-relaxed cell (GGA-PBE, Alexandria), the XRD peak list of Nd3HRu was computed for Cu Kα, 1.54184 Å.

Structural model:
a b c (Å): 7.3759 3.8715 8.8492
angles (deg): 90.00 106.87 90.00
Fractional positions:
Nd (0.0000, 0.0000, 0.0000)
Nd (0.1165, 0.5000, 0.6776)
Nd (0.2798, 0.5000, 0.3558)
Nd (0.4949, 0.5000, 0.0143)
Nd (0.6582, 0.5000, 0.6927)
Nd (0.7751, 0.0000, 0.3703)
H (0.3863, 0.0000, 0.1851)
H (0.8874, 0.0000, 0.6849)
Ru (0.3875, 0.0000, 0.6858)
Ru (0.8875, 0.5000, 0.1852)

Top 10 peaks for 2θ from 5° to 70°, most intense first:
- 2θ 31.4, intensity 1000, (1 1 -2)
- 2θ 30.1, intensity 541, (2 0 1)
- 2θ 29.7, intensity 533, (1 1 1)
- 2θ 31.7, intensity 488, (0 0 3)
- 2θ 27.8, intensity 326, (2 0 -2)
- 2θ 33.7, intensity 308, (2 1 -1)
- 2θ 46.9, intensity 265, (0 2 0)
- 2θ 43.6, intensity 259, (3 1 -1)
- 2θ 56.8, intensity 231, (2 2 1)
- 2θ 38.2, intensity 196, (2 1 1)